Structure and computed powder X-ray diffraction pattern of Nd6Ni2Sn (a DFT-relaxed cell (PBE, the Materials Project); Cu Ka).
Peak positions follow from Bragg's law for the DFT cell and can differ from measured ones.

Structure:
Unit cell a=8.753 b=8.753 c=8.753 alpha=113.43 beta=108.52 gamma=106.55
Element x y z (fractional)
Nd 0.030 0.233 0.797
Nd 0.184 0.288 0.472
Nd 0.184 0.712 0.896
Nd 0.322 0.014 0.692
Nd 0.322 0.629 0.308
Nd 0.436 0.233 0.203
Nd 0.564 0.767 0.797
Nd 0.678 0.371 0.692
Nd 0.678 0.986 0.308
Nd 0.816 0.288 0.104
Nd 0.816 0.712 0.528
Nd 0.970 0.767 0.203
Ni 0.116 0.616 0.500
Ni 0.365 0.000 0.365
Ni 0.635 0.000 0.635
Ni 0.884 0.384 0.500
Sn 0.000 0.000 0.000
Sn 0.500 0.500 0.000

Main lines, most intense first (2θ from 10° to 90°):
- 30.7 deg, intensity 100
- 32.7 deg, intensity 51
- 32.9 deg, intensity 34
- 33.3 deg, intensity 32
- 29.2 deg, intensity 26
- 57.8 deg, intensity 25
- 37.4 deg, intensity 19
- 34.1 deg, intensity 18
- 34.3 deg, intensity 16
- 53.1 deg, intensity 16
- 27.5 deg, intensity 15
- 27.0 deg, intensity 13


Structure and computed powder X-ray diffraction pattern of NdNi2Sn2 (a DFT-relaxed cell (PBE, the Materials Project); Cu Ka).
Peak positions follow from Bragg's law for the DFT cell and can differ from measured ones.

Structure:
Unit cell a=4.416 b=4.416 c=10.520 alpha=90.00 beta=90.00 gamma=90.00
Element x y z (fractional)
Nd 0.000 0.000 0.000
Nd 0.500 0.500 0.500
Ni 0.000 0.500 0.250
Ni 0.000 0.500 0.750
Ni 0.500 0.000 0.250
Ni 0.500 0.000 0.750
Sn 0.000 0.000 0.365
Sn 0.000 0.000 0.635
Sn 0.500 0.500 0.135
Sn 0.500 0.500 0.865

Main lines, most intense first (2θ from 10° to 90°):
- 32.6 deg, intensity 100
- 40.9 deg, intensity 61
- 53.2 deg, intensity 51
- 33.4 deg, intensity 47
- 28.6 deg, intensity 38
- 59.2 deg, intensity 20
- 60.6 deg, intensity 19
- 47.9 deg, intensity 18
- 45.1 deg, intensity 17
- 64.7 deg, intensity 15
- 83.6 deg, intensity 15
- 86.1 deg, intensity 13


Structure and computed powder X-ray diffraction pattern of Nd3NiSn7 (a DFT-relaxed cell (PBE, the Materials Project); Cu Ka).
Peak positions follow from Bragg's law for the DFT cell and can differ from measured ones.

Structure:
Unit cell a=4.597 b=13.735 c=13.735 alpha=19.28 beta=90.00 gamma=90.00
Element x y z (fractional)
Nd 0.000 0.000 0.000
Nd 0.000 0.372 0.372
Nd 0.500 0.686 0.686
Ni 0.500 0.815 0.815
Sn 0.000 0.185 0.185
Sn 0.000 0.591 0.591
Sn 0.000 0.775 0.775
Sn 0.500 0.091 0.091
Sn 0.500 0.275 0.275
Sn 0.500 0.476 0.476
Sn 0.500 0.907 0.907

Main lines, most intense first (2θ from 10° to 90°):
- 32.1 deg, intensity 100
- 39.2 deg, intensity 39
- 66.6 deg, intensity 26
- 52.2 deg, intensity 19
- 33.1 deg, intensity 16
- 56.6 deg, intensity 14
- 67.2 deg, intensity 9
- 58.5 deg, intensity 8
- 65.2 deg, intensity 6
- 36.1 deg, intensity 6
- 35.7 deg, intensity 5
- 84.2 deg, intensity 5


Structure and computed powder X-ray diffraction pattern of NdNi2Sn2 (a DFT-relaxed cell (PBE, the Materials Project); Cu Ka).
Peak positions follow from Bragg's law for the DFT cell and can differ from measured ones.

Structure:
Unit cell a=4.471 b=4.471 c=10.128 alpha=90.00 beta=90.00 gamma=90.00
Element x y z (fractional)
Nd 0.250 0.250 0.241
Nd 0.750 0.750 0.759
Ni 0.250 0.250 0.627
Ni 0.250 0.750 0.000
Ni 0.750 0.250 0.000
Ni 0.750 0.750 0.373
Sn 0.250 0.250 0.875
Sn 0.250 0.750 0.500
Sn 0.750 0.250 0.500
Sn 0.750 0.750 0.125

Main lines, most intense first (2θ from 10° to 90°):
- 33.4 deg, intensity 100
- 40.3 deg, intensity 73
- 33.3 deg, intensity 68
- 53.2 deg, intensity 36
- 68.9 deg, intensity 33
- 58.4 deg, intensity 27
- 49.4 deg, intensity 23
- 45.9 deg, intensity 20
- 65.6 deg, intensity 19
- 62.4 deg, intensity 15
- 88.8 deg, intensity 15
- 28.2 deg, intensity 15


Structure and computed powder X-ray diffraction pattern of Nd3Ni2Sn7 (a DFT-relaxed cell (PBE, the Materials Project); Cu Ka).
Peak positions follow from Bragg's law for the DFT cell and can differ from measured ones.

Structure:
Unit cell a=13.938 b=13.938 c=4.617 alpha=90.00 beta=90.00 gamma=160.64
Element x y z (fractional)
Nd 0.000 0.000 0.000
Nd 0.315 0.685 0.500
Nd 0.685 0.315 0.500
Ni 0.128 0.872 0.000
Ni 0.872 0.128 0.000
Sn 0.089 0.911 0.500
Sn 0.219 0.781 0.000
Sn 0.410 0.590 0.000
Sn 0.500 0.500 0.500
Sn 0.590 0.410 0.000
Sn 0.781 0.219 0.000
Sn 0.911 0.089 0.500

Main lines, most intense first (2θ from 10° to 90°):
- 31.7 deg, intensity 100
- 38.4 deg, intensity 25
- 39.0 deg, intensity 24
- 32.6 deg, intensity 23
- 55.9 deg, intensity 17
- 65.3 deg, intensity 16
- 66.1 deg, intensity 13
- 51.2 deg, intensity 13
- 64.2 deg, intensity 10
- 35.6 deg, intensity 9
- 51.7 deg, intensity 8
- 66.2 deg, intensity 8


Structure and computed powder X-ray diffraction pattern of Nd3Np (a DFT-relaxed cell (PBE, the Materials Project); Cu Ka).
Peak positions follow from Bragg's law for the DFT cell and can differ from measured ones.

Structure:
Unit cell a=7.348 b=7.348 c=5.950 alpha=90.00 beta=90.00 gamma=120.00
Element x y z (fractional)
Nd 0.169 0.339 0.250
Nd 0.169 0.831 0.250
Nd 0.339 0.169 0.750
Nd 0.661 0.831 0.250
Nd 0.831 0.169 0.750
Nd 0.831 0.661 0.750
Np 0.333 0.667 0.750
Np 0.667 0.333 0.250

Main lines, most intense first (2θ from 10° to 90°):
- 31.9 deg, intensity 100
- 30.0 deg, intensity 26
- 28.0 deg, intensity 23
- 59.1 deg, intensity 23
- 54.5 deg, intensity 22
- 49.6 deg, intensity 20
- 60.2 deg, intensity 16
- 41.6 deg, intensity 16
- 81.7 deg, intensity 14
- 87.5 deg, intensity 10
- 83.7 deg, intensity 9
- 76.8 deg, intensity 8


Structure and computed powder X-ray diffraction pattern of NdNpO3 (a DFT-relaxed cell (PBE, the Materials Project); Cu Ka).
Peak positions follow from Bragg's law for the DFT cell and can differ from measured ones.

Structure:
Unit cell a=4.495 b=4.495 c=4.495 alpha=90.00 beta=90.00 gamma=90.00
Element x y z (fractional)
Nd 0.000 0.000 0.000
Np 0.500 0.500 0.500
O 0.000 0.000 0.500
O 0.000 0.500 0.000
O 0.500 0.000 0.000

Main lines, most intense first (2θ from 10° to 90°):
- 28.1 deg, intensity 100
- 49.7 deg, intensity 43
- 40.1 deg, intensity 27
- 79.8 deg, intensity 23
- 65.7 deg, intensity 19
- 58.0 deg, intensity 18
- 72.9 deg, intensity 6
- 34.6 deg, intensity 6
- 19.7 deg, intensity 4
- 86.6 deg, intensity 3
- 45.1 deg, intensity 2
- 69.3 deg, intensity 2


Structure and computed powder X-ray diffraction pattern of NdO (a DFT-relaxed cell (PBE, the Materials Project); Cu Ka).
Peak positions follow from Bragg's law for the DFT cell and can differ from measured ones.

Structure:
Unit cell a=5.052 b=5.052 c=5.052 alpha=90.00 beta=90.00 gamma=90.00
Element x y z (fractional)
Nd 0.000 0.000 0.000
Nd 0.000 0.500 0.500
Nd 0.500 0.000 0.500
Nd 0.500 0.500 0.000
O 0.000 0.000 0.500
O 0.000 0.500 0.000
O 0.500 0.000 0.000
O 0.500 0.500 0.500

Main lines, most intense first (2θ from 10° to 90°):
- 30.7 deg, intensity 100
- 35.5 deg, intensity 81
- 51.1 deg, intensity 56
- 60.8 deg, intensity 45
- 86.1 deg, intensity 24
- 83.4 deg, intensity 19
- 63.8 deg, intensity 19
- 75.2 deg, intensity 9


Structure and computed powder X-ray diffraction pattern of Nd2O3 (a DFT-relaxed cell (PBE, the Materials Project); Cu Ka).
Peak positions follow from Bragg's law for the DFT cell and can differ from measured ones.

Structure:
Unit cell a=3.860 b=3.860 c=6.091 alpha=90.00 beta=90.00 gamma=120.00
Element x y z (fractional)
Nd 0.333 0.667 0.251
Nd 0.667 0.333 0.749
O 0.000 0.000 0.500
O 0.333 0.667 0.855
O 0.667 0.333 0.145

Main lines, most intense first (2θ from 10° to 90°):
- 30.5 deg, intensity 100
- 47.1 deg, intensity 32
- 26.7 deg, intensity 28
- 52.7 deg, intensity 28
- 29.3 deg, intensity 28
- 56.4 deg, intensity 27
- 40.0 deg, intensity 26
- 57.1 deg, intensity 18
- 77.1 deg, intensity 15
- 73.4 deg, intensity 10
- 80.3 deg, intensity 10
- 84.7 deg, intensity 8


Structure and computed powder X-ray diffraction pattern of Nd2O3 (a DFT-relaxed cell (PBE, the Materials Project); Cu Ka).
Peak positions follow from Bragg's law for the DFT cell and can differ from measured ones.

Structure:
Unit cell a=6.165 b=6.165 c=3.217 alpha=90.00 beta=90.00 gamma=120.00
Element x y z (fractional)
Nd 0.333 0.667 0.000
Nd 0.667 0.333 0.000
O 0.000 0.500 0.500
O 0.500 0.000 0.500
O 0.500 0.500 0.500

Main lines, most intense first (2θ from 10° to 90°):
- 16.6 deg, intensity 100
- 40.5 deg, intensity 74
- 29.0 deg, intensity 72
- 59.3 deg, intensity 24
- 32.5 deg, intensity 24
- 44.1 deg, intensity 23
- 27.7 deg, intensity 20
- 60.0 deg, intensity 20
- 89.5 deg, intensity 15
- 44.9 deg, intensity 15
- 51.3 deg, intensity 15
- 65.4 deg, intensity 15


Structure and computed powder X-ray diffraction pattern of Nd2O3 (a DFT-relaxed cell (PBE, the Materials Project); Cu Ka).
Peak positions follow from Bragg's law for the DFT cell and can differ from measured ones.

Structure:
Unit cell a=7.505 b=7.505 c=9.057 alpha=99.84 beta=99.84 gamma=28.60
Element x y z (fractional)
Nd 0.033 0.033 0.312
Nd 0.309 0.309 0.362
Nd 0.366 0.366 0.010
Nd 0.634 0.634 0.990
Nd 0.691 0.691 0.638
Nd 0.967 0.967 0.688
O 0.129 0.129 0.786
O 0.175 0.175 0.473
O 0.202 0.202 0.127
O 0.474 0.474 0.844
O 0.500 0.500 0.500
O 0.526 0.526 0.156
O 0.798 0.798 0.873
O 0.825 0.825 0.527
O 0.871 0.871 0.214

Main lines, most intense first (2θ from 10° to 90°):
- 31.3 deg, intensity 100
- 29.1 deg, intensity 93
- 30.5 deg, intensity 89
- 28.5 deg, intensity 88
- 27.2 deg, intensity 86
- 45.8 deg, intensity 61
- 30.1 deg, intensity 57
- 40.9 deg, intensity 54
- 52.0 deg, intensity 48
- 49.1 deg, intensity 37
- 53.7 deg, intensity 36
- 58.1 deg, intensity 27